This entry pairs a crystal structure of Pr4GeHSe2 with its theoretical PXRD pattern. Radiation: Cu Kα X-rays. Structure: DFT lattice parameters and positions (GGA-PBE).
Peak positions follow from Bragg's law for the DFT cell and can differ from measured ones.

Main lines, in order of rising 2θ (15° ≤ 2θ ≤ 90°):
(1 1 -1), 2θ 25.86, rel. 24
(1 1 1), 2θ 29.88, rel. 100
(2 0 -2), 2θ 30.27, rel. 48
(0 2 0), 2θ 42.65, rel. 56
(2 0 2), 2θ 42.91, rel. 18
(3 1 -1), 2θ 43.45, rel. 36
(2 2 -2), 2θ 53.17, rel. 20
(3 1 3), 2θ 70.64, rel. 16

Structural model:
a = 7.1729 Å, b = 4.2420 Å, c = 7.3421 Å
α = 90.00°, β = 108.97°, γ = 90.00°
Sites, in units of the cell vectors:
Pr (0.2475, 0.0000, 0.2520)
Pr (0.2505, 0.5000, 0.7388)
Pr (0.7495, 0.5000, 0.2612)
Pr (0.7525, 0.0000, 0.7480)
Ge (0.0000, 0.0000, 0.5000)
H (0.5000, 0.5000, 0.5000)
Se (0.0000, 0.5000, 0.0000)
Se (0.5000, 0.0000, 0.0000)